The following is a simulated XRD peak list of Ce7HgRu3. It was derived from a crystal structure in Alexandria, relaxed with PBE, using CuKα.
Kinematic intensities with the Lorentz-polarization factor, no thermal factor.

Most intense lines, 2θ = 5–70°, low angle first:
- hkl 2 0 -2, 30.66 deg, I 94
- hkl 3 1 0, 31.57 deg, I 66
- hkl 2 2 1, 32.63 deg, I 100
- hkl 1 1 2, 33.09 deg, I 28
- hkl 1 3 1, 33.50 deg, I 39
- hkl 0 4 0, 36.91 deg, I 44
- hkl 4 2 -1, 44.25 deg, I 51
- hkl 2 4 -2, 48.72 deg, I 36

Crystal structure
```
data_Ce7HgRu3
_chemical_formula_sum 'Ce14 Hg2 Ru6'
_symmetry_space_group_name_H-M 'C 1 2/m 1'
_symmetry_Int_Tables_number 12
_cell_length_a 9.101
_cell_length_b 9.742
_cell_length_c 6.556
_cell_angle_alpha 90.00
_cell_angle_beta 102.67
_cell_angle_gamma 90.00
loop_
_symmetry_equiv_pos_as_xyz
'x,y,z'
'-x,-y,-z'
'-x,y,-z'
'x,-y,z'
'x+1/2,y+1/2,z'
'-x+1/2,-y+1/2,-z'
'-x+1/2,y+1/2,-z'
'x+1/2,-y+1/2,z'
loop_
_atom_site_label
_atom_site_fract_x
_atom_site_fract_y
_atom_site_fract_z
Ce1 0.000 0.000 0.000
Ce2 0.162 0.500 0.201
Ce3 0.174 0.290 0.714
Hg1 0.000 0.000 0.500
Ru1 0.000 0.258 0.000
Ru2 0.000 0.500 0.500
```



The following is a simulated XRD peak list of TbAg3Sn3. It was derived from a crystal structure in Alexandria, relaxed with PBE, using CuKα.
Kinematic intensities with the Lorentz-polarization factor, no thermal factor.

Most intense lines, 2θ = 5–70°, low angle first:
- hkl 2 0 0, 23.63 deg, I 42
- hkl 2 1 1, 29.05 deg, I 100
- hkl 2 2 2, 41.55 deg, I 25
- hkl 3 2 1, 45.05 deg, I 60
- hkl 4 0 0, 48.36 deg, I 29
- hkl 4 2 0, 54.51 deg, I 17
- hkl 3 3 2, 57.41 deg, I 15
- hkl 5 2 1, 68.23 deg, I 17

Crystal structure
```
data_TbAg3Sn3
_chemical_formula_sum 'Tb2 Ag6 Sn6'
_symmetry_space_group_name_H-M 'P m -3 n'
_symmetry_Int_Tables_number 223
_symmetry_space_group_name_Hall '-P 4n 2 3'
_cell_length_a 7.529
_cell_length_b 7.529
_cell_length_c 7.529
_cell_angle_alpha 90.00
_cell_angle_beta 90.00
_cell_angle_gamma 90.00
loop_
_atom_site_label
_atom_site_fract_x
_atom_site_fract_y
_atom_site_fract_z
Tb1 0.000 0.000 0.000
Ag1 0.000 0.250 0.500
Sn1 0.000 0.500 0.250
```



> Number 2 is which compound?

TbAg3Sn3